# CeMgU2N5
Computed XRD peak list, copper Kα. Input: the GGA-PBE geometry in Alexandria.

Peak list (6 most intense, 10 to 80 degrees two-theta, sorted by position)
| 2θ (°) | I_rel | h k l |
| --- | --- | --- |
| 15.38 | 68 | 0 0 1 |
| 24.89 | 43 | 1 1 1 |
| 31.01 | 100 | 0 0 2 |
| 31.78 | 83 | 2 0 1 |
| 34.76 | 100 | 2 1 1 |
| 44.41 | 94 | 2 1 2 |

```
data_CeMgU2N5
_chemical_formula_sum 'Ce2 Mg2 U4 N10'
_cell_length_a 6.4552
_cell_length_b 6.4552
_cell_length_c 5.7617
_cell_angle_alpha 90.00
_cell_angle_beta 90.00
_cell_angle_gamma 90.00
_space_group_name_H-M_alt 'P 4/m b m'
_space_group_IT_number 127
_space_group_name_Hall '-P 4 2ab'
loop_
_atom_site_label
_atom_site_fract_x
_atom_site_fract_y
_atom_site_fract_z
_atom_site_occupancy
Ce1 0.0000 0.0000 0.0000 1
Mg1 0.0000 0.5000 0.0000 1
U1 0.1688 0.3312 0.5000 1
N1 0.0000 0.0000 0.5000 1
N2 0.1603 0.6603 0.2484 1
```